# RbVCu2S4
Computed X-ray powder pattern, copper Kα. Input: a DFT-relaxed cell (GGA-PBE, the Materials Project).
Intensities are scaled so that the largest is 100.

Cell and atoms:
Lattice parameters (Å, degrees): 7.490 9.666 9.666 147.40 90.00 90.00
Fractional coordinates of all 16 atoms:
Rb: 0.250 0.183 0.817
Rb: 0.750 0.817 0.183
V: 0.250 0.139 0.351
V: 0.750 0.351 0.139
Cu: 0.000 0.260 0.260
Cu: 0.250 0.640 0.848
Cu: 0.500 0.260 0.260
Cu: 0.750 0.848 0.640
S: 0.010 0.373 0.585
S: 0.250 0.005 0.019
S: 0.250 0.809 0.209
S: 0.490 0.373 0.585
S: 0.510 0.585 0.373
S: 0.750 0.019 0.005
S: 0.750 0.209 0.809
S: 0.990 0.585 0.373

Top 6 peaks for 10 to 80 degrees two-theta, by intensity:
- 2θ 29.38, rel. 100
- 2θ 29.15, rel. 94
- 2θ 45.69, rel. 72
- 2θ 50.99, rel. 70
- 2θ 15.20, rel. 63
- 2θ 22.55, rel. 53



# CrN2
Computed X-ray powder pattern, copper Kα. Input: a DFT-relaxed cell (GGA-PBE, the Materials Project).
Intensities are scaled so that the largest is 100.

Cell and atoms:
Lattice parameters (Å, degrees): 11.531 11.531 11.531 60.00 60.00 60.00
Fractional coordinates of all 24 atoms:
Cr: 0.061 0.061 0.061
Cr: 0.061 0.061 0.317
Cr: 0.061 0.317 0.061
Cr: 0.317 0.061 0.061
Cr: 0.683 0.939 0.939
Cr: 0.939 0.683 0.939
Cr: 0.939 0.939 0.683
Cr: 0.939 0.939 0.939
N: 0.000 0.000 0.000
N: 0.000 0.000 0.500
N: 0.000 0.500 0.000
N: 0.003 0.003 0.247
N: 0.003 0.247 0.003
N: 0.003 0.247 0.247
N: 0.247 0.003 0.003
N: 0.247 0.003 0.247
N: 0.247 0.247 0.003
N: 0.500 0.000 0.000
N: 0.753 0.753 0.997
N: 0.753 0.997 0.753
N: 0.753 0.997 0.997
N: 0.997 0.753 0.753
N: 0.997 0.753 0.997
N: 0.997 0.997 0.753

Top 6 peaks for 10 to 80 degrees two-theta, by intensity:
- 2θ 15.37, rel. 100
- 2θ 32.96, rel. 38
- 2θ 18.85, rel. 27
- 2θ 28.44, rel. 26
- 2θ 42.59, rel. 20
- 2θ 23.78, rel. 19



# Ge
Computed X-ray powder pattern, copper Kα. Input: a DFT-relaxed cell (GGA-PBE, the Materials Project).
Intensities are scaled so that the largest is 100.

Cell and atoms:
Lattice parameters (Å, degrees): 4.992 5.302 2.874 90.00 90.00 90.00
Fractional coordinates of all 4 atoms:
Ge: 0.000 0.250 0.064
Ge: 0.000 0.750 0.936
Ge: 0.500 0.250 0.436
Ge: 0.500 0.750 0.564

Top 6 peaks for 10 to 80 degrees two-theta, by intensity:
- 2θ 36.03, rel. 100
- 2θ 50.24, rel. 76
- 2θ 33.81, rel. 44
- 2θ 75.07, rel. 14
- 2θ 35.53, rel. 12
- 2θ 64.74, rel. 11



# CaSn2O4
Computed X-ray powder pattern, copper Kα. Input: a DFT-relaxed cell (GGA-PBE, the Materials Project).
Intensities are scaled so that the largest is 100.

Cell and atoms:
Lattice parameters (Å, degrees): 6.842 6.842 6.842 60.00 60.00 60.00
Fractional coordinates of all 14 atoms:
Ca: 0.125 0.125 0.125
Ca: 0.875 0.875 0.875
Sn: 0.000 0.500 0.500
Sn: 0.500 0.000 0.500
Sn: 0.500 0.500 0.000
Sn: 0.500 0.500 0.500
O: 0.263 0.263 0.263
O: 0.263 0.263 0.711
O: 0.263 0.711 0.263
O: 0.289 0.737 0.737
O: 0.711 0.263 0.263
O: 0.737 0.289 0.737
O: 0.737 0.737 0.289
O: 0.737 0.737 0.737

Top 6 peaks for 10 to 80 degrees two-theta, by intensity:
- 2θ 30.65, rel. 100
- 2θ 15.87, rel. 70
- 2θ 53.58, rel. 53
- 2θ 37.17, rel. 47
- 2θ 32.05, rel. 42
- 2θ 48.92, rel. 42



# K2ZnSe2O10
Computed X-ray powder pattern, copper Kα. Input: a DFT-relaxed cell (GGA-PBE, the Materials Project).
Intensities are scaled so that the largest is 100.

Cell and atoms:
Lattice parameters (Å, degrees): 5.467 6.843 7.652 110.83 93.44 106.48
Fractional coordinates of all 15 atoms:
K: 0.208 0.310 0.228
K: 0.792 0.690 0.772
Zn: 0.500 0.000 0.500
Se: 0.136 0.301 0.725
Se: 0.864 0.699 0.275
O: 0.099 0.124 0.832
O: 0.141 0.744 0.418
O: 0.237 0.564 0.875
O: 0.359 0.271 0.579
O: 0.475 0.994 0.244
O: 0.525 0.006 0.756
O: 0.641 0.729 0.421
O: 0.763 0.436 0.125
O: 0.859 0.256 0.582
O: 0.901 0.876 0.168

Top 6 peaks for 10 to 80 degrees two-theta, by intensity:
- 2θ 15.16, rel. 100
- 2θ 26.12, rel. 74
- 2θ 28.95, rel. 48
- 2θ 23.80, rel. 44
- 2θ 12.58, rel. 43
- 2θ 33.01, rel. 41



Please write out number 2 again, unchanged.
# CrN2
Computed X-ray powder pattern, copper Kα. Input: a DFT-relaxed cell (GGA-PBE, the Materials Project).
Intensities are scaled so that the largest is 100.

Cell and atoms:
Lattice parameters (Å, degrees): 11.531 11.531 11.531 60.00 60.00 60.00
Fractional coordinates of all 24 atoms:
Cr: 0.061 0.061 0.061
Cr: 0.061 0.061 0.317
Cr: 0.061 0.317 0.061
Cr: 0.317 0.061 0.061
Cr: 0.683 0.939 0.939
Cr: 0.939 0.683 0.939
Cr: 0.939 0.939 0.683
Cr: 0.939 0.939 0.939
N: 0.000 0.000 0.000
N: 0.000 0.000 0.500
N: 0.000 0.500 0.000
N: 0.003 0.003 0.247
N: 0.003 0.247 0.003
N: 0.003 0.247 0.247
N: 0.247 0.003 0.003
N: 0.247 0.003 0.247
N: 0.247 0.247 0.003
N: 0.500 0.000 0.000
N: 0.753 0.753 0.997
N: 0.753 0.997 0.753
N: 0.753 0.997 0.997
N: 0.997 0.753 0.753
N: 0.997 0.753 0.997
N: 0.997 0.997 0.753

Top 6 peaks for 10 to 80 degrees two-theta, by intensity:
- 2θ 15.37, rel. 100
- 2θ 32.96, rel. 38
- 2θ 18.85, rel. 27
- 2θ 28.44, rel. 26
- 2θ 42.59, rel. 20
- 2θ 23.78, rel. 19